Pm2Y2Te2Se3: computed X-ray diffraction stick pattern (Cu Kα (weighted mean of Kα1 and Kα2)), based on DFT lattice parameters and positions (PBE).
Intensities are scaled so that the largest is 100.

Atomic structure:
Cell lengths 5.623, 5.623, 15.922 Å; angles 90.00, 90.00, 90.00 degrees
Space group I4/mmm (No. 139)
Unique sites:
Pm (0.000, 0.000, 0.194) x4
Y (0.000, 0.500, 0.000) x4
Te (0.000, 0.000, 0.395) x4
Se (0.000, 0.000, 0.000) x2
Se (0.000, 0.500, 0.250) x4

The 10 most intense peaks (10 to 80 degrees two-theta), by angle:
| 2θ/deg | I (rel.) | h k l |
| --- | --- | --- |
| 22.4 | 21 | 1 1 0 |
| 31.8 | 100 | 2 0 0 |
| 32.3 | 56 | 1 0 5 |
| 45.6 | 27 | 2 2 0 |
| 46.0 | 41 | 2 1 5 |
| 51.4 | 12 | 1 1 8 |
| 56.7 | 13 | 3 1 4 |
| 57.0 | 11 | 3 0 5 |
| 66.8 | 14 | 3 2 5 |
| 75.6 | 16 | 4 2 0 |